Structure and theoretical X-ray diffraction stick pattern of Zn4Cd8Sn (a GGA-PBE-relaxed structure; Cu Kα (λ = 1.5418 Å)).

Peak list (6 most intense, 10 to 80 degrees two-theta, sorted by position)
d (Å)  I (rel.)
2.875  32
2.826  48
2.476  46
2.444  100
2.434  55
2.207  64

Cell and atoms:
```
13
Lattice="-4.869 4.869 2.875 4.869 -4.869 2.875 4.869 4.869 -2.875" Properties=species:S:1:pos:R:3 pbc="T T T"
Zn 2.434 2.434 -1.437
Zn 2.434 -2.434 1.437
Zn -2.434 2.434 1.437
Zn 2.434 2.434 1.437
Cd 2.137 0.000 0.000
Cd 7.600 0.000 0.000
Cd 4.869 1.551 0.000
Cd 0.000 2.137 0.000
Cd 1.551 4.869 0.000
Cd 3.318 0.000 2.875
Cd 0.000 7.600 0.000
Cd 0.000 3.318 2.875
Sn 0.000 0.000 2.875
```